1.
For TmGaAu, a DFT-relaxed cell (GGA-PBE, the Materials Project) gives the theoretical powder diffraction line list in this record (Cu Kα, 1.54184 Å).
Intensities are scaled so that the largest is 1000.

Structure:
Cell: 5.667 5.667 7.017 Å, 127.56 127.56 46.77°
Fractional coordinates of all 6 atoms:
Tm  0.036  0.036  0.296
Tm  0.964  0.964  0.704
Ga  0.342  0.342  0.891
Ga  0.658  0.658  0.109
Au  0.322  0.322  0.284
Au  0.678  0.678  0.716

The 10 most intense peaks (10° ≤ 2θ ≤ 90°), in order of falling intensity:
2θ 40.13, I 1000; 2θ 34.53, I 573; 2θ 32.89, I 335; 2θ 34.29, I 279; 2θ 34.19, I 265; 2θ 34.68, I 185; 2θ 23.49, I 179; 2θ 53.68, I 149; 2θ 68.26, I 128; 2θ 72.87, I 115

2.
For Sr15La2Cl36, a DFT-relaxed cell (GGA-PBE, the Materials Project) gives the theoretical powder diffraction line list in this record (Cu Kα, 1.54184 Å).
Intensities are scaled so that the largest is 1000.

Structure:
Cell: 69.774 69.774 69.774 Å, 4.10 4.10 4.10°
Fractional coordinates of all 53 atoms:
Sr  0.000  0.000  0.000
Sr  0.058  0.058  0.058
Sr  0.176  0.176  0.176
Sr  0.235  0.235  0.235
Sr  0.294  0.294  0.294
Sr  0.353  0.353  0.353
Sr  0.471  0.471  0.471
Sr  0.529  0.529  0.529
Sr  0.588  0.588  0.588
Sr  0.647  0.647  0.647
Sr  0.706  0.706  0.706
Sr  0.764  0.764  0.764
Sr  0.823  0.823  0.823
Sr  0.882  0.882  0.882
Sr  0.941  0.941  0.941
La  0.116  0.116  0.116
La  0.410  0.410  0.410
Cl  0.015  0.015  0.015
Cl  0.044  0.044  0.044
Cl  0.076  0.076  0.076
Cl  0.102  0.102  0.102
Cl  0.132  0.132  0.132
Cl  0.162  0.162  0.162
Cl  0.191  0.191  0.191
Cl  0.221  0.221  0.221
Cl  0.250  0.250  0.250
Cl  0.279  0.279  0.279
Cl  0.309  0.309  0.309
Cl  0.338  0.338  0.338
Cl  0.367  0.367  0.367
Cl  0.396  0.396  0.396
Cl  0.425  0.425  0.425
Cl  0.442  0.442  0.442
Cl  0.457  0.457  0.457
Cl  0.485  0.485  0.485
Cl  0.515  0.515  0.515
Cl  0.544  0.544  0.544
Cl  0.573  0.573  0.573
Cl  0.603  0.603  0.603
Cl  0.632  0.632  0.632
Cl  0.662  0.662  0.662
Cl  0.691  0.691  0.691
Cl  0.720  0.720  0.720
Cl  0.736  0.736  0.736
Cl  0.751  0.751  0.751
Cl  0.781  0.781  0.781
Cl  0.809  0.809  0.809
Cl  0.838  0.838  0.838
Cl  0.868  0.868  0.868
Cl  0.897  0.897  0.897
Cl  0.926  0.926  0.926
Cl  0.956  0.956  0.956
Cl  0.985  0.985  0.985

The 10 most intense peaks (10° ≤ 2θ ≤ 90°), in order of falling intensity:
2θ 35.95, I 1000; 2θ 21.78, I 997; 2θ 35.82, I 934; 2θ 42.39, I 525; 2θ 64.57, I 462; 2θ 21.67, I 343; 2θ 51.66, I 303; 2θ 42.26, I 164; 2θ 69.00, I 159; 2θ 56.80, I 149

3.
For NdUCo10, a DFT-relaxed cell (GGA-PBE, the Materials Project) gives the theoretical powder diffraction line list in this record (Cu Kα, 1.54184 Å).
Intensities are scaled so that the largest is 1000.

Structure:
Cell: 3.928 4.803 8.312 Å, 90.00 90.00 90.00°
Fractional coordinates of all 12 atoms:
Nd  0.000  0.000  0.000
U  0.000  0.500  0.500
Co  0.000  0.000  0.350
Co  0.000  0.000  0.650
Co  0.000  0.500  0.193
Co  0.000  0.500  0.807
Co  0.500  0.000  0.500
Co  0.500  0.253  0.258
Co  0.500  0.253  0.742
Co  0.500  0.500  0.000
Co  0.500  0.747  0.258
Co  0.500  0.747  0.742

The 10 most intense peaks (10° ≤ 2θ ≤ 90°), in order of falling intensity:
2θ 44.22, I 1000; 2θ 31.33, I 677; 2θ 43.53, I 386; 2θ 37.46, I 350; 2θ 46.22, I 268; 2θ 65.36, I 225; 2θ 72.29, I 205; 2θ 63.79, I 196; 2θ 60.95, I 168; 2θ 84.24, I 149

4.
For GdRh5, a DFT-relaxed cell (GGA-PBE, the Materials Project) gives the theoretical powder diffraction line list in this record (Cu Kα, 1.54184 Å).
Intensities are scaled so that the largest is 1000.

Structure:
Cell: 5.265 5.265 4.333 Å, 90.00 90.00 120.00°
Fractional coordinates of all 6 atoms:
Gd  0.000  0.000  0.000
Rh  0.000  0.500  0.500
Rh  0.333  0.667  0.000
Rh  0.500  0.000  0.500
Rh  0.500  0.500  0.500
Rh  0.667  0.333  0.000

The 10 most intense peaks (10° ≤ 2θ ≤ 90°), in order of falling intensity:
2θ 40.08, I 1000; 2θ 39.53, I 313; 2θ 41.69, I 312; 2θ 28.42, I 271; 2θ 34.06, I 239; 2θ 65.03, I 235; 2θ 44.93, I 229; 2θ 86.52, I 226; 2θ 58.80, I 194; 2θ 71.71, I 183

5.
For PmNdRu2, a DFT-relaxed cell (GGA-PBE, the Materials Project) gives the theoretical powder diffraction line list in this record (Cu Kα, 1.54184 Å).
Intensities are scaled so that the largest is 1000.

Structure:
Cell: 4.959 4.959 4.959 Å, 60.00 60.00 60.00°
Fractional coordinates of all 4 atoms:
Pm  0.000  0.000  0.000
Nd  0.500  0.500  0.500
Ru  0.250  0.250  0.250
Ru  0.750  0.750  0.750

The 9 most intense peaks (10° ≤ 2θ ≤ 90°), in order of falling intensity:
2θ 36.23, I 1000; 2θ 65.17, I 354; 2θ 52.17, I 175; 2θ 88.09, I 159; 2θ 76.90, I 109; 2θ 25.40, I 35; 2θ 58.89, I 15; 2θ 44.77, I 11; 2θ 82.53, I 8

6.
For Hg, a DFT-relaxed cell (GGA-PBE, the Materials Project) gives the theoretical powder diffraction line list in this record (Cu Kα, 1.54184 Å).
Intensities are scaled so that the largest is 1000.

Structure:
Cell: 5.560 5.560 3.291 Å, 90.00 90.00 120.00°
Fractional coordinates of all 3 atoms:
Hg  0.000  0.000  0.000
Hg  0.333  0.667  0.500
Hg  0.667  0.333  0.500

The 10 most intense peaks (10° ≤ 2θ ≤ 90°), in order of falling intensity:
2θ 32.20, I 1000; 2θ 32.97, I 836; 2θ 57.90, I 344; 2θ 46.75, I 322; 2θ 65.98, I 263; 2θ 57.41, I 198; 2θ 77.07, I 153; 2θ 84.29, I 140; 2θ 67.37, I 124; 2θ 42.57, I 105

Question: Which formula does entry 6 have?
Answer: Hg

What did the sixth record say?
For Hg, a DFT-relaxed cell (GGA-PBE, the Materials Project) gives the theoretical powder diffraction line list in this record (Cu Kα, 1.54184 Å).
Intensities are scaled so that the largest is 1000.

Structure:
Cell: 5.560 5.560 3.291 Å, 90.00 90.00 120.00°
Fractional coordinates of all 3 atoms:
Hg  0.000  0.000  0.000
Hg  0.333  0.667  0.500
Hg  0.667  0.333  0.500

The 10 most intense peaks (10° ≤ 2θ ≤ 90°), in order of falling intensity:
2θ 32.20, I 1000; 2θ 32.97, I 836; 2θ 57.90, I 344; 2θ 46.75, I 322; 2θ 65.98, I 263; 2θ 57.41, I 198; 2θ 77.07, I 153; 2θ 84.29, I 140; 2θ 67.37, I 124; 2θ 42.57, I 105